The following is a calculated XRD peak list of NdEuHf4O12. It was derived from a cell relaxed with GGA-PBE, using a wavelength of 1.5418 Å.

Principal peaks in the range 2θ from 15° to 90°, low angle first:
2θ = 19.0°, I 37, (1 1 1); 2θ = 21.8°, I 31, (0 0 2); 2θ = 31.1°, I 48, (2 0 2); 2θ = 31.3°, I 100, (2 2 0); 2θ = 44.5°, I 27, (4 0 0); 2θ = 55.4°, I 42, (4 2 2)

Structural model:
```
data_NdEuHf4O12
_symmetry_space_group_name_H-M 'A m m 2'
_symmetry_Int_Tables_number 38
_cell_length_a 8.1325
_cell_length_b 8.0426
_cell_length_c 8.1464
_cell_angle_alpha 90.00
_cell_angle_beta 90.00
_cell_angle_gamma 90.00
loop_
_symmetry_equiv_pos_as_xyz
'x,y,z'
'-x,-y,z'
'-x,y,z'
'x,-y,z'
'x,y+1/2,z+1/2'
'-x,-y+1/2,z+1/2'
'-x,y+1/2,z+1/2'
'x,-y+1/2,z+1/2'
loop_
_atom_site_label
_atom_site_type_symbol
_atom_site_fract_x
_atom_site_fract_y
_atom_site_fract_z
Nd1 Nd 0.0000 0.0000 0.0000
Eu1 Eu 0.5000 0.0000 0.4528
Hf1 Hf 0.2512 0.2392 0.7184
O1 O 0.0000 0.2144 0.1863
O2 O 0.1929 0.0000 0.7840
O3 O 0.2741 0.1999 0.4655
O4 O 0.2784 0.0000 0.1890
O5 O 0.5000 0.1960 0.7064
```